This entry pairs a crystal structure of Ba6Sr2CoCu7O24 with its computed X-ray diffraction stick pattern. Radiation: Cu Ka. Structure: a GGA+U-relaxed structure.

Main lines, low angle first (2θ = 10–80°):
11.1°, I = 1; 22.3°, I = 5; 25.0°, I = 1; 31.8°, I = 100; 39.2°, I = 13; 45.6°, I = 33; 51.3°, I = 3; 56.6°, I = 39; 66.4°, I = 20; 71.0°, I = 2; 75.5°, I = 16; 79.9°, I = 4

Structure:
Cell: 7.9586 11.2664 11.2581 Å, 90.00 90.00 90.00°
Space group Amm2 (No. 38)
Unique sites:
Ba 0.2493 0.0000 0.0000 x4
Ba 0.2490 0.2487 0.2495 x8
Sr 0.2471 0.0000 0.4973 x4
Co 0.5000 0.0000 0.7444 x2
Cu 0.0000 0.0000 0.2492 x2
Cu 0.0000 0.0000 0.7488 x2
Cu 0.0000 0.2501 0.4993 x4
Cu 0.5000 0.0000 0.2493 x2
Cu 0.5000 0.2502 0.4987 x4
O 0.0000 0.1179 0.6183 x4
O 0.0000 0.1188 0.3806 x4
O 0.0000 0.1264 0.1251 x4
O 0.0000 0.1258 0.8723 x4
O 0.2502 0.0000 0.2581 x4
O 0.2509 0.2413 0.4989 x8
O 0.2567 0.0000 0.7442 x4
O 0.5000 0.1189 0.3812 x4
O 0.5000 0.1193 0.6235 x4
O 0.5000 0.1228 0.8702 x4
O 0.5000 0.1259 0.1244 x4